Record 1
Simulated powder diffraction line list of Sr2SiNi4Ge for Cu Kα, 1.54184 Å, from a crystal structure in OQMD, relaxed with GGA-PBE.
Kinematic intensities with the Lorentz-polarization factor, no thermal factor.

Peak list (12 most intense, 5 to 70 degrees two-theta, by intensity)
2θ/deg	d (Å)	intensity	index
35.97	2.496	100	1 0 3
44.24	2.047	94	1 1 0
56.95	1.617	60	1 1 4
34.00	2.637	47	0 0 4
16.81	5.273	38	0 0 2
26.52	3.361	34	0 1 1
67.55	1.387	25	1 0 7
58.29	1.583	23	0 2 3
25.11	3.546	20	1 0 0
47.65	1.908	14	1 1 2
30.38	2.942	10	1 0 2
8.38	10.547	10	0 0 1

Structure:
Cell lengths 4.0943, 4.0943, 10.5466 Å; angles 90.00, 90.00, 120.00 degrees
Space group P-3m1 (No. 164)
Unique sites:
Sr 0.3333 0.6667 0.2518 x2
Si 0.0000 0.0000 0.5000 x1
Ni 0.3333 0.6667 0.5332 x2
Ni 0.3333 0.6667 0.9650 x2
Ge 0.0000 0.0000 0.0000 x1

---

Record 2
Simulated powder diffraction line list of ZnCu2GeTeS3 for Cu Kα, 1.54184 Å, from a crystal structure in OQMD, relaxed with GGA-PBE.
Kinematic intensities with the Lorentz-polarization factor, no thermal factor.

Peak list (12 most intense, 5 to 70 degrees two-theta, by intensity)
2θ/deg	d (Å)	intensity	index
28.10	3.176	100	0 2 1
27.95	3.192	56	2 0 -2
27.66	3.225	55	2 0 0
46.24	1.963	47	2 2 1
46.63	1.948	45	2 2 -3
55.08	1.667	27	0 2 3
46.12	1.968	25	4 0 -2
46.88	1.938	21	0 4 0
54.70	1.678	21	4 2 -1
37.52	2.397	16	1 3 0
55.47	1.656	13	2 4 -2
55.30	1.661	13	2 4 0

Structure:
Cell lengths 7.8728, 7.7515, 6.7596 Å; angles 90.00, 124.98, 90.00 degrees
Space group Cm (No. 8)
Unique sites:
Zn 0.0000 0.0000 0.0000 x2
Cu 0.0071 0.2783 0.5423 x4
Ge 0.4757 0.0000 0.0092 x2
Te 0.3773 0.5000 0.2901 x2
S 0.3635 0.2411 0.7588 x4
S 0.3685 0.0000 0.2620 x2

---

Record 3
Simulated powder diffraction line list of Gd3MgCd2Ga2Pt for Cu Kα, 1.54184 Å, from a crystal structure in OQMD, relaxed with GGA-PBE.
Kinematic intensities with the Lorentz-polarization factor, no thermal factor.

Peak list (12 most intense, 5 to 70 degrees two-theta, by intensity)
2θ/deg	d (Å)	intensity	index
35.00	2.564	100	1 2 2
34.77	2.580	97	1 4 0
31.79	2.815	79	1 3 1
31.97	2.799	73	1 0 2
42.88	2.109	61	0 3 3
41.21	2.190	58	2 0 0
28.23	3.162	39	0 2 2
14.01	6.323	33	0 1 1
37.47	2.400	32	0 4 2
61.01	1.519	28	2 3 3
67.73	1.383	24	1 7 3
43.21	2.094	22	1 1 3

Structure:
Cell lengths 4.3808, 12.7697, 7.2785 Å; angles 90.00, 90.00, 90.00 degrees
Space group Amm2 (No. 38)
Unique sites:
Gd 0.0000 0.0000 0.0000 x2
Gd 0.0000 0.2048 0.3927 x4
Mg 0.5000 0.0000 0.3636 x2
Cd 0.5000 0.1254 0.7191 x4
Ga 0.5000 0.1630 0.0995 x4
Pt 0.0000 0.0000 0.5833 x2

---

Record 4
Simulated powder diffraction line list of GdTm2Al2Cd4 for Cu Kα, 1.54184 Å, from a crystal structure in OQMD, relaxed with GGA-PBE.
Kinematic intensities with the Lorentz-polarization factor, no thermal factor.

Peak list (12 most intense, 5 to 70 degrees two-theta, by intensity)
2θ/deg	d (Å)	intensity	index
34.69	2.586	100	1 2 2
31.46	2.844	78	1 3 1
34.54	2.597	50	1 4 0
39.70	2.270	43	2 0 0
31.58	2.833	41	1 0 2
55.88	1.645	27	2 5 1
28.37	3.146	25	0 2 2
37.62	2.391	22	0 5 1
37.72	2.385	21	0 4 2
68.81	1.364	20	3 2 2
37.90	2.374	19	0 1 3
67.81	1.382	17	1 8 2

Structure:
Cell lengths 4.5404, 12.6646, 7.2496 Å; angles 90.00, 90.00, 90.00 degrees
Space group Amm2 (No. 38)
Unique sites:
Gd 0.0000 0.0000 0.0000 x2
Tm 0.0000 0.2160 0.3554 x4
Al 0.5000 0.1681 0.0708 x4
Cd 0.0000 0.0000 0.5652 x2
Cd 0.5000 0.0000 0.3178 x2
Cd 0.5000 0.1257 0.6957 x4

---

Record 5
Simulated powder diffraction line list of LaTaSiIr2 for Cu Kα, 1.54184 Å, from a crystal structure in OQMD, relaxed with GGA-PBE.
Kinematic intensities with the Lorentz-polarization factor, no thermal factor.

Peak list (12 most intense, 5 to 70 degrees two-theta, by intensity)
2θ/deg	d (Å)	intensity	index
34.19	2.623	100	1 1 2
42.72	2.117	48	2 0 0
32.51	2.754	36	1 0 3
16.29	5.440	35	0 0 2
45.03	2.013	33	1 1 4
59.61	1.551	18	1 1 6
54.69	1.678	16	2 1 3
62.00	1.497	16	2 2 0
46.95	1.935	12	1 0 5
22.54	3.945	12	1 0 1
46.01	1.973	11	2 0 2
65.33	1.428	9	2 1 5

Structure:
Cell lengths 4.2334, 4.2334, 10.8806 Å; angles 90.00, 90.00, 90.00 degrees
Space group I4mm (No. 107)
Unique sites:
La 0.0000 0.0000 0.0000 x2
Ta 0.0000 0.0000 0.3696 x2
Si 0.0000 0.0000 0.6126 x2
Ir 0.0000 0.5000 0.2390 x4

---

Record 6
Simulated powder diffraction line list of AuBr for Cu Kα, 1.54184 Å, from a crystal structure in OQMD, relaxed with GGA-PBE.
Kinematic intensities with the Lorentz-polarization factor, no thermal factor.

Peak list (12 most intense, 5 to 70 degrees two-theta, by intensity)
2θ/deg	d (Å)	intensity	index
14.13	6.267	100	0 0 2
30.39	2.941	100	2 0 1
36.67	2.451	61	2 0 3
44.76	2.025	48	2 2 2
51.74	1.767	37	2 2 4
47.08	1.930	31	0 2 5
25.20	3.534	24	1 1 2
43.31	2.089	19	0 0 6
28.48	3.134	15	0 0 4
60.04	1.541	15	2 0 7
69.86	1.346	10	2 4 1
29.52	3.026	9	2 0 0

Structure:
Cell lengths 6.0420, 6.0603, 12.5341 Å; angles 90.00, 90.00, 90.00 degrees
Space group Cmm2 (No. 35)
Unique sites:
Au 0.0000 0.2501 0.0000 x4
Au 0.2498 0.0000 0.4979 x4
Br 0.0000 0.0000 0.1579 x2
Br 0.0000 0.0000 0.6562 x2
Br 0.0000 0.5000 0.3398 x2
Br 0.0000 0.5000 0.8420 x2

---

Record 7
Simulated powder diffraction line list of Pr4Br4O3 for Cu Kα, 1.54184 Å, from a crystal structure in OQMD, relaxed with GGA-PBE.
Kinematic intensities with the Lorentz-polarization factor, no thermal factor.

Peak list (12 most intense, 5 to 70 degrees two-theta, by intensity)
2θ/deg	d (Å)	intensity	index
32.52	2.753	100	1 0 2
31.00	2.885	60	1 2 0
56.04	1.641	21	1 4 2
56.19	1.637	21	2 2 2
24.87	3.580	16	1 0 1
44.29	2.045	14	0 4 0
44.52	2.035	14	2 0 0
39.49	2.282	12	1 2 2
54.06	1.696	12	1 0 4
58.96	1.566	11	1 2 4
64.61	1.443	9	2 4 0
11.86	7.461	7	0 0 1

Structure:
Cell lengths 4.0698, 8.1808, 7.4613 Å; angles 90.00, 90.00, 90.00 degrees
Space group Pmm2 (No. 25)
Unique sites:
Pr 0.0000 0.0000 0.0000 x1
Pr 0.0000 0.5000 0.0090 x1
Pr 0.5000 0.2474 0.6764 x2
Br 0.0000 0.0000 0.4739 x1
Br 0.0000 0.5000 0.4894 x1
Br 0.5000 0.2535 0.2016 x2
O 0.0000 0.2559 0.8410 x2
O 0.5000 0.0000 0.8407 x1

---

Record 8
Simulated powder diffraction line list of Na2ZnGaF7 for Cu Kα, 1.54184 Å, from a crystal structure in OQMD, relaxed with GGA-PBE.
Kinematic intensities with the Lorentz-polarization factor, no thermal factor.

Peak list (12 most intense, 5 to 70 degrees two-theta, by intensity)
2θ/deg	d (Å)	intensity	index
30.55	2.926	100	2 0 2
31.10	2.875	99	2 2 0
51.40	1.778	82	4 2 2
60.81	1.523	56	2 2 4
15.14	5.853	56	1 0 1
25.04	3.556	47	2 1 1
17.68	5.015	45	0 1 1
29.74	3.004	34	1 2 1
35.81	2.508	27	0 2 2
61.76	1.502	26	2 4 2
52.26	1.750	25	0 4 0
29.33	3.045	24	3 0 1

Structure:
Cell lengths 10.0832, 7.0014, 7.1874 Å; angles 90.00, 90.00, 90.00 degrees
Space group Pnma (No. 62)
Unique sites:
Na 0.0000 0.0000 0.0000 x4
Na 0.2303 0.2500 0.2402 x4
Zn 0.0000 0.0000 0.5000 x4
Ga 0.2383 0.7500 0.2246 x4
F 0.0078 0.2500 0.3750 x4
F 0.1128 0.5583 0.2796 x8
F 0.1508 0.7500 0.9854 x4
F 0.1581 0.0384 0.6594 x8
F 0.1659 0.2500 0.9540 x4

---

Record 9
Simulated powder diffraction line list of YHoSi2Pt for Cu Kα, 1.54184 Å, from a crystal structure in OQMD, relaxed with GGA-PBE.
Kinematic intensities with the Lorentz-polarization factor, no thermal factor.

Peak list (12 most intense, 5 to 70 degrees two-theta, by intensity)
2θ/deg	d (Å)	intensity	index
34.00	2.637	100	3 1 -2
33.40	2.683	79	1 1 2
9.85	8.981	78	0 0 1
41.23	2.190	73	3 1 1
42.27	2.138	54	0 2 0
37.25	2.414	50	3 1 -3
29.85	2.994	36	0 0 3
23.13	3.845	26	1 1 -1
27.27	3.270	26	1 1 -2
22.95	3.875	26	1 1 0
39.41	2.286	23	4 0 0
56.46	1.630	20	3 1 3

Structure:
Cell lengths 10.3386, 4.2773, 10.1529 Å; angles 90.00, 117.80, 90.00 degrees
Space group C2/m (No. 12)
Unique sites:
Y 0.1880 0.0000 0.1084 x4
Ho 0.0054 0.0000 0.3257 x4
Si 0.0189 0.5000 0.8871 x4
Si 0.1397 0.5000 0.5582 x4
Pt 0.2255 0.5000 0.3453 x4

---

Record 10
Simulated powder diffraction line list of Zn6NiCl3 for Cu Kα, 1.54184 Å, from a crystal structure in OQMD, relaxed with GGA-PBE.
Kinematic intensities with the Lorentz-polarization factor, no thermal factor.

Peak list (12 most intense, 5 to 70 degrees two-theta, by intensity)
2θ/deg	d (Å)	intensity	index
24.40	3.648	100	2 0 0
15.51	5.714	66	1 0 1
38.28	2.351	45	3 0 1
40.09	2.249	41	2 2 2
39.21	2.298	39	0 0 4
46.72	1.944	31	2 0 4
29.04	3.075	29	2 1 1
39.04	2.307	28	3 1 0
50.01	1.824	22	4 0 0
47.75	1.905	20	3 0 3
19.31	4.596	19	0 0 2
65.32	1.429	18	4 0 4

Structure:
Cell lengths 7.2956, 7.2956, 9.1913 Å; angles 90.00, 90.00, 90.00 degrees
Space group I4/mmm (No. 139)
Unique sites:
Zn 0.0000 0.0000 0.2435 x4
Zn 0.0000 0.3114 0.0000 x8
Ni 0.0000 0.0000 0.0000 x2
Cl 0.0000 0.0000 0.5000 x2
Cl 0.0000 0.5000 0.2500 x4

---

Record 11
Simulated powder diffraction line list of Tb2LuAl7Cu2 for Cu Kα, 1.54184 Å, from a crystal structure in OQMD, relaxed with GGA-PBE.
Kinematic intensities with the Lorentz-polarization factor, no thermal factor.

Peak list (12 most intense, 5 to 70 degrees two-theta, by intensity)
2θ/deg	d (Å)	intensity	index
39.17	2.300	100	1 1 6
32.67	2.741	88	1 1 0
31.05	2.880	52	1 0 7
19.02	4.666	46	1 0 1
34.00	2.636	34	0 1 8
21.02	4.227	32	0 0 6
38.08	2.363	28	0 2 1
64.76	1.439	27	2 0 14
62.69	1.482	25	3 0 6
57.30	1.608	19	2 1 7
68.46	1.370	19	2 2 0
54.22	1.692	17	0 0 15

Structure:
Cell lengths 5.4817, 5.4817, 25.3619 Å; angles 90.00, 90.00, 120.00 degrees
Space group R-3m (No. 166, hexagonal axes)
Unique sites:
Tb 0.0000 0.0000 0.1419 x6
Lu 0.0000 0.0000 0.0000 x3
Al 0.0000 0.0000 0.5000 x3
Al 0.0063 0.5031 0.9215 x18
Cu 0.0000 0.0000 0.3354 x6

---

Record 12
Simulated powder diffraction line list of K2TlFeBr6 for Cu Kα, 1.54184 Å, from a crystal structure in OQMD, relaxed with GGA-PBE.
Kinematic intensities with the Lorentz-polarization factor, no thermal factor.

Peak list (12 most intense, 5 to 70 degrees two-theta, by intensity)
2θ/deg	d (Å)	intensity	index
32.01	2.796	100	4 0 0
15.85	5.592	99	2 0 0
45.90	1.977	67	4 4 0
35.91	2.501	47	4 2 0
34.97	2.566	29	3 3 1
27.63	3.228	27	2 2 2
22.49	3.954	26	2 2 0
26.43	3.372	25	3 1 1
48.86	1.864	24	6 0 0
57.06	1.614	22	4 4 4
63.94	1.456	17	7 3 1
59.62	1.551	14	6 4 0

Structure:
Cell lengths 11.1833, 11.1833, 11.1833 Å; angles 90.00, 90.00, 90.00 degrees
Space group Fm-3m (No. 225)
Unique sites:
K 0.2500 0.2500 0.2500 x8
Tl 0.0000 0.0000 0.0000 x4
Fe 0.0000 0.0000 0.5000 x4
Br 0.0000 0.0000 0.2714 x24

---

Record 13
Simulated powder diffraction line list of SmLuTlS3 for Cu Kα, 1.54184 Å, from a crystal structure in OQMD, relaxed with GGA-PBE.
Kinematic intensities with the Lorentz-polarization factor, no thermal factor.

Peak list (12 most intense, 5 to 70 degrees two-theta, by intensity)
2θ/deg	d (Å)	intensity	index
29.26	3.052	100	1 3 1
26.89	3.316	60	1 1 2
32.41	2.762	58	1 3 2
31.93	2.803	49	0 0 4
37.18	2.418	40	1 3 3
25.28	3.523	35	0 4 0
15.81	5.606	31	0 0 2
42.03	2.150	27	2 0 0
49.80	1.831	26	1 3 5
20.24	4.386	26	0 2 2
41.16	2.193	25	0 4 4
53.73	1.706	22	2 0 4

Structure:
Cell lengths 4.2999, 14.0907, 11.2110 Å; angles 90.00, 90.00, 90.00 degrees
Space group Cmcm (No. 63)
Unique sites:
Sm 0.0000 0.0000 0.0000 x4
Lu 0.0000 0.4566 0.2500 x4
Tl 0.0000 0.2578 0.7500 x4
S 0.0000 0.0564 0.2500 x4
S 0.0000 0.3715 0.0512 x8